For NaNiHO2, a structure optimized by DFT (GGA+U) gives the calculated PXRD pattern in this record (Cu Kα (weighted mean of Kα1 and Kα2)).
Peak positions follow from Bragg's law for the DFT cell and can differ from measured ones.

Lattice parameters (Å, degrees): 5.700 8.316 4.850 90.00 90.00 90.00
Space group Cmme (No. 67)
Asymmetric unit:
1 Na 0.000 0.250 0.099
2 Ni 0.250 0.000 0.500
3 H 0.000 0.000 0.000
4 O 0.000 0.015 0.754

Main lines, low angle first (2θ = 10–80°):
hkl  2θ/deg  I (rel.)
0 0 1  18.29  38.2
0 2 0  21.37  90.1
0 2 1  28.27  100.0
2 0 1  36.57  55.4
0 4 0  43.53  31.3
2 2 2  54.35  43.6